The following is a calculated powder X-ray diffraction pattern of SrAl2Cl8. It was derived from a crystal structure in the Materials Project, relaxed with PBE, using Cu Kα X-rays.
Peak positions follow from Bragg's law for the DFT cell and can differ from measured ones.

Cell and atoms:
```
SrAl2Cl8
1.0
7.395 0.000 0.000
0.000 7.108 0.000
-1.027 0.000 12.899
Sr Al Cl
2 4 16
Direct
0.000 0.156 0.250
0.000 0.844 0.750
0.184 0.263 0.921
0.184 0.737 0.421
0.816 0.263 0.579
0.816 0.737 0.079
0.096 0.180 0.613
0.096 0.820 0.113
0.244 0.305 0.085
0.244 0.695 0.585
0.248 0.479 0.346
0.248 0.521 0.846
0.336 0.032 0.864
0.336 0.968 0.364
0.664 0.032 0.636
0.664 0.968 0.136
0.752 0.479 0.154
0.752 0.521 0.654
0.756 0.305 0.415
0.756 0.695 0.915
0.904 0.180 0.887
0.904 0.820 0.387
```

Principal peaks in the range 2θ from 10° to 90°, by angle:
two_theta	intensity
12.01	100
17.54	37
19.01	46
24.18	41
26.33	40
27.85	42
28.84	28
31.63	31
32.69	32
38.90	29


The following is a calculated powder X-ray diffraction pattern of TbAl3Cl12. It was derived from a crystal structure in the Materials Project, relaxed with PBE, using Cu Kα X-rays.
Peak positions follow from Bragg's law for the DFT cell and can differ from measured ones.

Cell and atoms:
```
TbAl3Cl12
1.0
10.840 0.000 0.000
-5.420 9.388 0.000
0.000 0.000 16.044
Tb Al Cl
3 9 36
Direct
0.171 0.343 0.167
0.171 0.829 0.833
0.657 0.829 0.500
0.203 0.601 0.000
0.302 0.097 0.230
0.302 0.205 0.770
0.399 0.601 0.333
0.399 0.797 0.667
0.795 0.097 0.103
0.795 0.698 0.897
0.903 0.205 0.563
0.903 0.698 0.437
0.004 0.174 0.038
0.004 0.829 0.962
0.076 0.533 0.113
0.076 0.542 0.887
0.125 0.303 0.543
0.125 0.821 0.457
0.171 0.174 0.295
0.171 0.498 0.315
0.171 0.672 0.685
0.171 0.996 0.705
0.179 0.303 0.791
0.179 0.875 0.209
0.321 0.108 0.888
0.321 0.214 0.112
0.328 0.498 0.018
0.328 0.829 0.982
0.458 0.533 0.221
0.458 0.924 0.779
0.467 0.542 0.446
0.467 0.924 0.554
0.500 0.175 0.289
0.500 0.325 0.711
0.502 0.672 0.649
0.502 0.829 0.351
0.675 0.175 0.044
0.675 0.500 0.956
0.697 0.821 0.876
0.697 0.875 0.124
0.786 0.108 0.445
0.786 0.679 0.555
0.825 0.325 0.622
0.825 0.500 0.378
0.826 0.829 0.372
0.826 0.996 0.628
0.892 0.214 0.222
0.892 0.679 0.778
```

Principal peaks in the range 2θ from 10° to 90°, by angle:
two_theta	intensity
10.92	100
14.52	69
18.91	18
23.37	23
25.24	22
27.49	13
30.67	22
32.42	22
34.91	14
37.19	31


The following is a calculated powder X-ray diffraction pattern of AlTeCl7. It was derived from a crystal structure in the Materials Project, relaxed with PBE, using Cu Kα X-rays.
Peak positions follow from Bragg's law for the DFT cell and can differ from measured ones.

Cell and atoms:
```
AlTeCl7
1.0
6.748 0.000 0.000
0.000 12.916 0.000
-3.933 0.000 13.826
Al Te Cl
4 4 28
Direct
0.127 0.043 0.222
0.127 0.457 0.722
0.873 0.543 0.278
0.873 0.957 0.778
0.412 0.748 0.389
0.412 0.752 0.889
0.588 0.248 0.111
0.588 0.252 0.611
0.022 0.097 0.339
0.022 0.403 0.839
0.073 0.602 0.414
0.073 0.898 0.914
0.128 0.625 0.714
0.128 0.875 0.214
0.290 0.635 0.985
0.290 0.865 0.485
0.318 0.147 0.627
0.318 0.353 0.127
0.391 0.156 0.978
0.391 0.344 0.478
0.443 0.093 0.235
0.443 0.407 0.735
0.557 0.593 0.265
0.557 0.907 0.765
0.609 0.656 0.522
0.609 0.844 0.022
0.682 0.647 0.873
0.682 0.853 0.373
0.710 0.135 0.515
0.710 0.365 0.015
0.872 0.125 0.786
0.872 0.375 0.286
0.927 0.102 0.086
0.927 0.398 0.586
0.978 0.597 0.161
0.978 0.903 0.661
```

Principal peaks in the range 2θ from 10° to 90°, by angle:
two_theta	intensity
13.68	37
14.53	100
15.97	21
17.39	33
19.39	54
22.29	36
29.90	19
30.05	30
33.16	21
38.09	22


The following is a calculated powder X-ray diffraction pattern of AlTeCl7. It was derived from a crystal structure in the Materials Project, relaxed with PBE, using Cu Kα X-rays.
Peak positions follow from Bragg's law for the DFT cell and can differ from measured ones.

Cell and atoms:
```
AlTeCl7
1.0
6.794 0.000 0.000
-1.026 8.725 0.000
-1.714 -1.507 20.219
Al Te Cl
4 4 28
Direct
0.191 0.390 0.102
0.223 0.836 0.379
0.777 0.164 0.621
0.809 0.610 0.898
0.222 0.795 0.607
0.255 0.247 0.883
0.745 0.753 0.117
0.778 0.205 0.393
0.058 0.883 0.155
0.066 0.103 0.596
0.083 0.330 0.441
0.097 0.557 0.869
0.130 0.208 0.022
0.134 0.803 0.715
0.186 0.640 0.311
0.337 0.592 0.060
0.361 0.276 0.778
0.361 0.315 0.182
0.375 0.572 0.616
0.378 0.033 0.336
0.392 0.792 0.470
0.401 0.022 0.899
0.599 0.978 0.101
0.608 0.208 0.530
0.622 0.967 0.664
0.625 0.428 0.384
0.639 0.685 0.818
0.639 0.724 0.222
0.663 0.408 0.940
0.814 0.360 0.689
0.866 0.197 0.285
0.870 0.792 0.978
0.903 0.443 0.131
0.917 0.670 0.559
0.934 0.897 0.404
0.942 0.117 0.845
```

Principal peaks in the range 2θ from 10° to 90°, by angle:
two_theta	intensity
12.92	69
13.91	58
16.37	77
17.55	100
17.70	73
18.66	49
31.91	68
32.24	50
32.59	72
46.06	45


The following is a calculated powder X-ray diffraction pattern of TiAl2Cl8. It was derived from a crystal structure in the Materials Project, relaxed with PBE, using Cu Kα X-rays.
Peak positions follow from Bragg's law for the DFT cell and can differ from measured ones.

Cell and atoms:
```
TiAl2Cl8
1.0
8.939 -4.026 0.000
8.939 4.026 0.000
-7.429 0.000 9.246
Ti Al Cl
2 4 16
Direct
0.003 0.997 0.750
0.997 0.003 0.250
0.157 0.668 0.968
0.332 0.843 0.532
0.668 0.157 0.468
0.843 0.332 0.032
0.131 0.167 0.017
0.146 0.687 0.787
0.167 0.131 0.517
0.169 0.714 0.326
0.286 0.831 0.174
0.304 0.377 0.948
0.313 0.854 0.713
0.377 0.304 0.448
0.623 0.696 0.552
0.687 0.146 0.287
0.696 0.623 0.052
0.714 0.169 0.826
0.831 0.286 0.674
0.833 0.869 0.483
0.854 0.313 0.213
0.869 0.833 0.983
```

Principal peaks in the range 2θ from 10° to 90°, by angle:
two_theta	intensity
12.70	100
18.67	24
25.56	32
29.11	42
29.42	17
30.05	77
30.17	25
40.43	17
45.03	20
45.06	32


The following is a calculated powder X-ray diffraction pattern of TiAl2Cl8. It was derived from a crystal structure in the Materials Project, relaxed with PBE, using Cu Kα X-rays.
Peak positions follow from Bragg's law for the DFT cell and can differ from measured ones.

Cell and atoms:
```
TiAl2Cl8
1.0
6.054 0.000 0.000
0.000 7.837 0.000
-0.879 0.000 14.197
Ti Al Cl
2 4 16
Direct
0.000 0.000 0.000
0.000 0.500 0.500
0.378 0.249 0.411
0.378 0.251 0.911
0.622 0.749 0.089
0.622 0.751 0.589
0.224 0.017 0.853
0.224 0.483 0.353
0.253 0.247 0.052
0.253 0.253 0.552
0.259 0.726 0.580
0.259 0.774 0.080
0.293 0.028 0.334
0.293 0.472 0.834
0.707 0.528 0.166
0.707 0.972 0.666
0.741 0.226 0.920
0.741 0.274 0.420
0.747 0.747 0.448
0.747 0.753 0.948
0.776 0.517 0.647
0.776 0.983 0.147
```

Principal peaks in the range 2θ from 10° to 90°, by angle:
two_theta	intensity
12.47	84
12.90	53
16.85	46
19.87	31
25.97	34
28.36	65
29.56	61
30.34	100
40.37	34
44.74	42